1.
Theoretical powder diffraction line list of Pr2NdH7 for λ = 1.5418 Å (Cu Kα), from a DFT-relaxed cell (GGA-PBE, Alexandria).
Kinematic intensities with the Lorentz-polarization factor, no thermal factor.

Peak list (8 most intense, 2θ = 10–80°, most intense first)
- 2θ = 28.17°, I 100, (1 0 3)
- 2θ = 32.64°, I 50, (1 1 0)
- 2θ = 55.56°, I 45, (2 1 3)
- 2θ = 46.84°, I 39, (2 0 0)
- 2θ = 75.54°, I 18, (3 0 3)
- 2θ = 77.87°, I 16, (3 1 0)
- 2θ = 58.26°, I 13, (2 0 6)
- 2θ = 68.40°, I 6, (2 2 0)

Crystal structure
Cell lengths 3.8796, 3.8796, 16.4570 Å; angles 90.00, 90.00, 90.00 degrees
Space group I4/mmm (No. 139)
Unique sites:
1 Pr 0.0000 0.0000 0.1649
2 Nd 0.0000 0.0000 0.5000
3 H 0.0000 0.0000 0.0000
4 H 0.0000 0.5000 0.0849
5 H 0.0000 0.5000 0.2500


2.
Theoretical powder diffraction line list of Pr2Nd4Tl3H2 for λ = 1.5418 Å (Cu Kα), from a DFT-relaxed cell (GGA-PBE, Alexandria).
Kinematic intensities with the Lorentz-polarization factor, no thermal factor.

Peak list (12 most intense, 2θ = 10–80°, most intense first)
- 2θ = 33.30°, I 100, (1 1 6)
- 2θ = 36.58°, I 56, (2 0 0)
- 2θ = 26.59°, I 33, (1 1 2)
- 2θ = 63.78°, I 31, (3 1 6)
- 2θ = 18.39°, I 23, (1 0 1)
- 2θ = 30.54°, I 21, (1 0 7)
- 2θ = 52.70°, I 21, (2 2 0)
- 2θ = 29.27°, I 17, (1 1 4)
- 2θ = 57.32°, I 14, (2 0 12)
- 2θ = 48.37°, I 12, (2 1 7)
- 2θ = 64.97°, I 11, (1 0 17)
- 2θ = 51.66°, I 10, (2 0 10)

Crystal structure
Cell lengths 4.9130, 4.9130, 25.5105 Å; angles 90.00, 90.00, 90.00 degrees
Space group I4/mmm (No. 139)
Unique sites:
1 Pr 0.0000 0.0000 0.1991
2 Nd 0.0000 0.5000 0.0842
3 Tl 0.0000 0.0000 0.3268
4 Tl 0.0000 0.0000 0.5000
5 H 0.0000 0.0000 0.1028


3.
Theoretical powder diffraction line list of NdH4Pt2 for λ = 1.5418 Å (Cu Kα), from a DFT-relaxed cell (GGA-PBE, Alexandria).
Kinematic intensities with the Lorentz-polarization factor, no thermal factor.

Peak list (12 most intense, 2θ = 10–80°, most intense first)
- 2θ = 30.63°, I 100, (1 1 0)
- 2θ = 35.24°, I 98, (-1 1 2)
- 2θ = 39.93°, I 95, (2 -1 0)
- 2θ = 33.89°, I 93, (1 -2 0)
- 2θ = 36.67°, I 85, (1 0 2)
- 2θ = 34.48°, I 54, (0 2 -1)
- 2θ = 31.76°, I 54, (1 0 -2)
- 2θ = 29.45°, I 48, (0 1 -2)
- 2θ = 19.71°, I 44, (0 1 -1)
- 2θ = 35.37°, I 38, (1 -1 2)
- 2θ = 47.80°, I 31, (0 2 2)
- 2θ = 37.04°, I 31, (1 1 -2)

Crystal structure
Cell lengths 4.5604, 5.5951, 6.7083 Å; angles 97.71, 95.54, 107.19 degrees
Space group P1 (No. 1)
Unique sites:
1 Nd 0.0000 0.0000 0.0000
2 Nd 0.3434 0.6617 0.4867
3 H 0.3312 0.4429 0.1431
4 H 0.3373 0.1441 0.3654
5 H 0.4438 0.8573 0.8587
6 H 0.5877 0.2108 0.9665
7 H 0.7668 0.0167 0.6582
8 H 0.8588 0.7626 0.3323
9 H 0.8780 0.2770 0.3115
10 H 0.9431 0.5737 0.7496
11 Pt 0.0331 0.0826 0.4825
12 Pt 0.2597 0.5771 0.9241
13 Pt 0.6138 0.2840 0.7154
14 Pt 0.7311 0.4662 0.1645


4.
Theoretical powder diffraction line list of NdH8PtRh4 for λ = 1.5418 Å (Cu Kα), from a DFT-relaxed cell (GGA-PBE, Alexandria).
Kinematic intensities with the Lorentz-polarization factor, no thermal factor.

Peak list (12 most intense, 2θ = 10–80°, most intense first)
- 2θ = 37.02°, I 100, (1 1 3)
- 2θ = 59.65°, I 42, (1 2 5)
- 2θ = 38.71°, I 42, (2 0 2)
- 2θ = 31.40°, I 42, (1 1 0)
- 2θ = 37.10°, I 42, (0 1 5)
- 2θ = 65.50°, I 20, (2 2 0)
- 2θ = 65.69°, I 19, (2 0 8)
- 2θ = 78.81°, I 15, (0 4 2)
- 2θ = 19.08°, I 15, (1 0 1)
- 2θ = 38.85°, I 13, (0 0 6)
- 2θ = 77.73°, I 11, (3 1 5)
- 2θ = 55.89°, I 10, (3 0 0)

Crystal structure
Cell lengths 5.7002, 5.7002, 13.9096 Å; angles 90.00, 90.00, 120.00 degrees
Space group R3m (No. 160, hexagonal axes)
Unique sites:
1 Nd 0.0000 0.0000 0.0000
2 H 0.0000 0.0000 0.3839
3 H 0.0000 0.0000 0.8397
4 H 0.0602 0.5301 0.8349
5 H 0.0992 0.5496 0.3840
6 Pt 0.0000 0.0000 0.6167
7 Rh 0.0000 0.0000 0.2499
8 Rh 0.0061 0.5030 0.1245